Record 1
For Mn5Nb6Os, the PBE geometry in Alexandria gives the computed powder XRD pattern in this record (Cu Kα, 1.54184 Å).

Cell: 7.5714 7.5714 7.5714 Å, 146.32 131.77 60.11°
Atoms (fractional coordinates):
Mn: 0.0000 0.0000 0.0000
Mn: 0.1668 0.6668 0.5000
Mn: 0.3336 0.3336 0.0000
Mn: 0.6664 0.6664 0.0000
Mn: 0.8332 0.3332 0.5000
Nb: 0.0773 0.8305 0.2468
Nb: 0.2435 0.5000 0.7435
Nb: 0.4163 0.1695 0.2468
Nb: 0.5837 0.8305 0.7532
Nb: 0.7565 0.5000 0.2565
Nb: 0.9227 0.1695 0.7532
Os: 0.5000 0.0000 0.5000

Most intense lines, 10 to 90 degrees two-theta, sorted by position:
two_theta	d [Å]	I (rel.)
13.5	6.553	4
15.8	5.595	5
24.9	3.574	5
28.4	3.141	4
41.2	2.193	20
41.3	2.187	100
59.8	1.547	19
75.1	1.265	19
75.3	1.262	19
89.6	1.094	8

***

Record 2
For Mn3Nb4Os, the PBE geometry in Alexandria gives the computed powder XRD pattern in this record (Cu Kα, 1.54184 Å).

Cell: 3.1012 4.4218 8.7383 Å, 90.00 90.00 90.00°
Atoms (fractional coordinates):
Mn: 0.0000 0.0000 0.0000
Mn: 0.0000 0.5000 0.2495
Mn: 0.0000 0.5000 0.7505
Nb: 0.5000 0.0000 0.2394
Nb: 0.5000 0.0000 0.7606
Nb: 0.5000 0.5000 0.0000
Nb: 0.5000 0.5000 0.5000
Os: 0.0000 0.0000 0.5000

Most intense lines, 10 to 90 degrees two-theta, sorted by position:
two_theta	d [Å]	I (rel.)
10.1	8.738	17
36.9	2.436	9
40.8	2.211	26
41.1	2.195	100
41.3	2.185	24
59.5	1.554	16
74.5	1.273	16
74.8	1.270	8
75.2	1.264	23
89.2	1.098	11

***

Record 3
For Mn8Nb3Os, the PBE geometry in Alexandria gives the computed powder XRD pattern in this record (Cu Kα, 1.54184 Å).

Cell: 4.7600 4.7600 7.8471 Å, 90.00 90.00 120.00°
Atoms (fractional coordinates):
Mn: 0.0000 0.0000 0.0000
Mn: 0.0000 0.0000 0.4992
Mn: 0.1722 0.3444 0.7493
Mn: 0.1722 0.8278 0.7493
Mn: 0.3442 0.1721 0.2564
Mn: 0.6556 0.8278 0.7493
Mn: 0.8279 0.1721 0.2564
Mn: 0.8279 0.6558 0.2564
Nb: 0.3333 0.6667 0.0672
Nb: 0.3333 0.6667 0.4452
Nb: 0.6667 0.3333 0.9369
Os: 0.6667 0.3333 0.5761

Most intense lines, 10 to 90 degrees two-theta, sorted by position:
two_theta	d [Å]	I (rel.)
24.4	3.649	16
37.8	2.380	57
40.9	2.209	100
43.9	2.061	15
44.5	2.035	93
45.5	1.994	63
70.3	1.339	35
72.9	1.297	20
76.3	1.249	24
80.8	1.190	21

***

Record 4
For Mn3NbPd12, the PBE geometry in Alexandria gives the computed powder XRD pattern in this record (Cu Kα, 1.54184 Å).

Cell: 3.9458 3.9458 15.6837 Å, 90.00 90.00 90.00°
Atoms (fractional coordinates):
Mn: 0.0000 0.0000 0.0000
Mn: 0.0000 0.0000 0.2451
Mn: 0.0000 0.0000 0.7549
Nb: 0.0000 0.0000 0.5000
Pd: 0.0000 0.5000 0.1239
Pd: 0.0000 0.5000 0.3757
Pd: 0.0000 0.5000 0.6243
Pd: 0.0000 0.5000 0.8761
Pd: 0.5000 0.0000 0.1239
Pd: 0.5000 0.0000 0.3757
Pd: 0.5000 0.0000 0.6243
Pd: 0.5000 0.0000 0.8761
Pd: 0.5000 0.5000 0.0000
Pd: 0.5000 0.5000 0.2496
Pd: 0.5000 0.5000 0.5000
Pd: 0.5000 0.5000 0.7504

Most intense lines, 10 to 90 degrees two-theta, sorted by position:
two_theta	d [Å]	I (rel.)
22.5	3.946	3
32.2	2.781	2
39.6	2.273	100
46.0	1.973	32
46.3	1.960	16
67.1	1.395	10
67.3	1.391	20
80.8	1.189	24
81.3	1.184	12
85.4	1.137	10

***

Record 5
For Mn2Nb2Pd7, the PBE geometry in Alexandria gives the computed powder XRD pattern in this record (Cu Kα, 1.54184 Å).

Cell: 6.1465 6.1465 4.9815 Å, 97.40 97.40 80.16°
Atoms (fractional coordinates):
Mn: 0.2457 0.2457 0.2631
Mn: 0.7543 0.7543 0.7369
Nb: 0.1882 0.8118 0.0000
Nb: 0.8118 0.1882 0.0000
Pd: 0.0000 0.0000 0.5000
Pd: 0.0492 0.4085 0.7453
Pd: 0.4085 0.0492 0.7453
Pd: 0.4750 0.4750 0.7381
Pd: 0.5250 0.5250 0.2619
Pd: 0.5915 0.9508 0.2547
Pd: 0.9508 0.5915 0.2547

Most intense lines, 10 to 90 degrees two-theta, sorted by position:
two_theta	d [Å]	I (rel.)
29.0	3.081	30
29.7	3.010	45
35.4	2.538	29
36.7	2.452	63
38.0	2.366	28
38.5	2.339	39
38.9	2.318	91
40.8	2.213	100
44.6	2.032	56
47.0	1.933	86

***

Record 6
For MnNb2Pt9, the PBE geometry in Alexandria gives the computed powder XRD pattern in this record (Cu Kα, 1.54184 Å).

Cell: 3.9956 3.9956 11.8920 Å, 90.00 90.00 90.00°
Atoms (fractional coordinates):
Mn: 0.0000 0.0000 0.0000
Nb: 0.0000 0.0000 0.3260
Nb: 0.0000 0.0000 0.6740
Pt: 0.0000 0.5000 0.1685
Pt: 0.0000 0.5000 0.5000
Pt: 0.0000 0.5000 0.8315
Pt: 0.5000 0.0000 0.1685
Pt: 0.5000 0.0000 0.5000
Pt: 0.5000 0.0000 0.8315
Pt: 0.5000 0.5000 0.0000
Pt: 0.5000 0.5000 0.3347
Pt: 0.5000 0.5000 0.6653

Most intense lines, 10 to 90 degrees two-theta, sorted by position:
two_theta	d [Å]	I (rel.)
22.2	3.996	6
31.8	2.814	5
39.2	2.301	100
45.4	1.998	33
45.8	1.982	16
66.1	1.413	11
66.4	1.407	21
79.6	1.204	26
80.2	1.197	12
84.2	1.150	11

***

Question: Number 3 is which compound?
Answer: Mn8Nb3Os